This entry pairs a crystal structure of MgTaIn2 with its simulated X-ray diffraction stick pattern. Radiation: λ = 1.5418 Å (Cu Kα). Structure: a PBE-relaxed structure.
Lines closer than 0.1° are merged.

Top 10 peaks for 2θ = 10–80°, sorted by position:
Position (°2θ), intensity
31.2, 15
35.6, 100
39.3, 19
42.1, 12
42.3, 31
59.1, 22
61.4, 10
68.8, 14
73.0, 24
75.4, 11

Crystal structure
```
data_MgTaIn2
_chemical_formula_sum 'Mg1 Ta1 In2'
_space_group_name_H-M_alt 'P 4/m m m'
_space_group_IT_number 123
_space_group_name_Hall '-P 4 2'
_cell_length_a 3.020
_cell_length_b 3.020
_cell_length_c 9.171
_cell_angle_alpha 90.00
_cell_angle_beta 90.00
_cell_angle_gamma 90.00
loop_
_atom_site_label
_atom_site_type_symbol
_atom_site_fract_x
_atom_site_fract_y
_atom_site_fract_z
Mg1 Mg 0.000 0.000 0.000
Ta1 Ta 0.000 0.000 0.500
In1 In 0.500 0.500 0.258
```